No. 1
Ag2SnSeS2: calculated X-ray diffraction stick pattern (a wavelength of 1.5418 Å), based on DFT lattice parameters and positions (GGA-PBE).
Kinematic intensities with the Lorentz-polarization factor, no thermal factor.

Structural model:
Lattice parameters (Å, degrees): 12.4692 7.2834 6.9340 90.00 90.00 90.00
Space group Cmc2_1 (No. 36)
One atom of each set of equivalent atoms:
Ag (0.1744, 0.1505, 0.0000) (multiplicity 8)
Sn (0.0000, 0.3249, 0.4623) (multiplicity 4)
Se (0.0000, 0.3302, 0.8466) (multiplicity 4)
S (0.1636, 0.1751, 0.3662) (multiplicity 8)

Peak list (8 most intense, 5° ≤ 2θ ≤ 70°, by angle)
d/Å, two_theta, Rel. int., h k l
3.610, 24.66, 92, 3 1 0
3.467, 25.70, 82, 0 0 2
3.224, 27.67, 64, 0 2 1
3.202, 27.86, 100, 3 1 1
2.096, 43.15, 71, 3 3 0
1.951, 46.54, 42, 0 2 3
1.947, 46.66, 71, 3 1 3
1.794, 50.90, 45, 3 3 2


No. 2
LaAuS2: calculated X-ray diffraction stick pattern (a wavelength of 1.5418 Å), based on DFT lattice parameters and positions (GGA-PBE).
Kinematic intensities with the Lorentz-polarization factor, no thermal factor.

Structural model:
Lattice parameters (Å, degrees): 4.4689 7.3484 7.7196 90.00 125.32 90.00
Space group P2_1/c (No. 14)
One atom of each set of equivalent atoms:
La (0.0000, 0.0000, 0.0000) (multiplicity 2)
Au (0.0000, 0.0000, 0.5000) (multiplicity 2)
S (0.2980, 0.1898, 0.7975) (multiplicity 4)

Peak list (8 most intense, 5° ≤ 2θ ≤ 70°, by angle)
d/Å, two_theta, Rel. int., h k l
3.674, 24.22, 41, 0 2 0
3.645, 24.42, 99, 1 0 -2
3.150, 28.34, 27, 0 0 2
2.588, 34.67, 100, 1 2 0
2.391, 37.62, 46, 0 2 2
1.900, 47.87, 24, 1 0 2
1.641, 56.06, 23, 1 4 0
1.633, 56.35, 28, 2 2 0


No. 3
Bi4PPd15: calculated X-ray diffraction stick pattern (a wavelength of 1.5418 Å), based on DFT lattice parameters and positions (GGA-PBE).
Kinematic intensities with the Lorentz-polarization factor, no thermal factor.

Structural model:
Lattice parameters (Å, degrees): 4.6111 4.6111 56.4558 90.00 90.00 120.00
Space group R-3m (No. 166, hexagonal axes)
One atom of each set of equivalent atoms:
Bi (0.0000, 0.0000, 0.1017) (multiplicity 6)
Bi (0.0000, 0.0000, 0.2999) (multiplicity 6)
P (0.0000, 0.0000, 0.5000) (multiplicity 3)
Pd (0.0000, 0.0000, 0.0000) (multiplicity 3)
Pd (0.0000, 0.0000, 0.0509) (multiplicity 6)
Pd (0.0000, 0.0000, 0.1537) (multiplicity 6)
Pd (0.0000, 0.0000, 0.2009) (multiplicity 6)
Pd (0.0000, 0.0000, 0.2501) (multiplicity 6)
Pd (0.0000, 0.0000, 0.3511) (multiplicity 6)
Pd (0.0000, 0.0000, 0.4031) (multiplicity 6)
Pd (0.0000, 0.0000, 0.4585) (multiplicity 6)

Peak list (8 most intense, 5° ≤ 2θ ≤ 70°, by angle)
d/Å, two_theta, Rel. int., h k l
3.765, 23.63, 4, 0 1 5
3.260, 27.36, 3, 1 0 10
2.553, 35.15, 4, 0 1 17
2.384, 37.74, 3, 1 0 19
2.305, 39.07, 100, 1 1 0
1.966, 46.18, 2, 1 0 25
1.630, 56.45, 16, 2 0 20
1.458, 63.84, 2, 1 1 30


No. 4
Bi5Sb4N2: calculated X-ray diffraction stick pattern (a wavelength of 1.5418 Å), based on DFT lattice parameters and positions (GGA-PBE).
Kinematic intensities with the Lorentz-polarization factor, no thermal factor.

Structural model:
Lattice parameters (Å, degrees): 4.6941 8.1983 9.1816 104.00 95.94 100.00
Space group P-1 (No. 2)
One atom of each set of equivalent atoms:
Bi (0.0000, 0.0000, 0.0000) (multiplicity 1)
Bi (0.2498, 0.7044, 0.4528) (multiplicity 2)
Bi (0.4875, 0.0889, 0.7803) (multiplicity 2)
Sb (0.2432, 0.3073, 0.3151) (multiplicity 2)
Sb (0.3249, 0.5213, 0.8507) (multiplicity 2)
N (0.4063, 0.6346, 0.0837) (multiplicity 2)

Peak list (8 most intense, 5° ≤ 2θ ≤ 70°, by angle)
d/Å, two_theta, Rel. int., h k l
3.904, 22.78, 46, 1 -1 1
3.255, 27.40, 85, 0 2 1
3.232, 27.60, 37, 1 -2 1
3.212, 27.78, 100, 1 1 -2
2.994, 29.85, 28, -1 2 1
2.953, 30.26, 61, 1 0 2
2.283, 39.48, 37, 0 1 -4
2.165, 41.71, 32, 1 3 -1


No. 5
Li3LaRh4O12: calculated X-ray diffraction stick pattern (a wavelength of 1.5418 Å), based on DFT lattice parameters and positions (GGA-PBE).
Kinematic intensities with the Lorentz-polarization factor, no thermal factor.

Structural model:
Lattice parameters (Å, degrees): 7.5473 7.5473 7.5473 90.00 90.00 90.00
Space group Im-3 (No. 204)
One atom of each set of equivalent atoms:
Li (0.0000, 0.0000, 0.5000) (multiplicity 6)
La (0.0000, 0.0000, 0.0000) (multiplicity 2)
Rh (0.2500, 0.2500, 0.2500) (multiplicity 8)
O (0.0000, 0.3010, 0.1769) (multiplicity 24)

Peak list (8 most intense, 5° ≤ 2θ ≤ 70°, by angle)
d/Å, two_theta, Rel. int., h k l
5.337, 16.61, 36, 1 1 0
3.774, 23.58, 44, 2 0 0
2.668, 33.59, 100, 2 2 0
2.387, 37.69, 17, 3 0 1
2.017, 44.94, 19, 3 1 2
1.887, 48.23, 27, 4 0 0
1.688, 54.36, 18, 4 2 0
1.541, 60.05, 51, 4 2 2


No. 6
Ce2Fe3B12Mo: calculated X-ray diffraction stick pattern (a wavelength of 1.5418 Å), based on DFT lattice parameters and positions (GGA-PBE).
Kinematic intensities with the Lorentz-polarization factor, no thermal factor.

Structural model:
Lattice parameters (Å, degrees): 5.4047 5.4047 23.3885 90.00 90.00 120.00
Space group R-3m (No. 166, hexagonal axes)
One atom of each set of equivalent atoms:
Ce (0.0000, 0.0000, 0.1417) (multiplicity 6)
Fe (0.0000, 0.5000, 0.0000) (multiplicity 9)
B (0.0880, 0.5440, 0.0876) (multiplicity 18)
B (0.1062, 0.2123, 0.7355) (multiplicity 18)
Mo (0.0000, 0.0000, 0.5000) (multiplicity 3)

Peak list (8 most intense, 5° ≤ 2θ ≤ 70°, by angle)
d/Å, two_theta, Rel. int., h k l
7.796, 11.35, 34, 0 0 3
3.898, 22.81, 35, 0 0 6
3.654, 24.36, 27, 1 0 4
3.309, 26.95, 31, 0 1 5
2.702, 33.15, 35, 1 1 0
2.553, 35.15, 100, 1 1 3
1.827, 49.92, 23, 2 0 8
1.360, 69.07, 26, 2 0 14